(1)
The following is a computed powder X-ray diffraction pattern of Er3NbTl3S8. It was derived from DFT lattice parameters and positions (GGA-PBE), using Cu Ka.
No peak broadening, texture or thermal motion is included.

Crystal structure
```
Er3NbTl3S8
1.0
3.874 2.236 7.633
-3.874 2.236 7.633
0.000 -4.473 7.633
Er Nb Tl S
3 1 3 8
Cartesian
-1.937 -1.118 7.633
-1.937 1.118 15.266
0.000 2.236 7.633
0.000 0.000 0.000
-3.874 0.000 11.450
-1.937 1.118 3.817
1.937 1.118 3.817
0.000 -2.377 9.084
-2.058 1.188 9.084
-2.058 -1.188 13.816
0.000 0.000 6.127
0.000 0.000 16.773
2.058 1.188 9.084
2.058 -1.188 13.816
0.000 2.377 13.816
```

Largest 6 diffraction maxima, in order of rising 2θ, 10 to 90 degrees two-theta:
- 2θ = 23.31°, I 32
- 2θ = 27.71°, I 56
- 2θ = 30.89°, I 100
- 2θ = 41.47°, I 39
- 2θ = 46.91°, I 32
- 2θ = 53.02°, I 23



(2)
The following is a computed powder X-ray diffraction pattern of Na4Al3Si3SO16. It was derived from DFT lattice parameters and positions (GGA-PBE), using Cu Ka.
No peak broadening, texture or thermal motion is included.

Crystal structure
```
Na4Al3Si3SO16
1.0
9.271 0.000 0.000
0.000 9.271 0.000
0.000 0.000 9.271
Na Al Si S O
8 6 6 2 32
Cartesian
2.220 2.220 2.220
2.220 7.051 7.051
2.416 2.416 6.855
2.416 6.855 2.416
6.855 2.416 2.416
6.855 6.855 6.855
7.051 2.220 7.051
7.051 7.051 2.220
0.000 2.318 4.635
0.000 6.953 4.635
2.318 4.635 0.000
4.635 0.000 2.318
4.635 0.000 6.953
6.953 4.635 0.000
0.000 4.635 2.318
0.000 4.635 6.953
2.318 0.000 4.635
4.635 2.318 0.000
4.635 6.953 0.000
6.953 0.000 4.635
0.000 0.000 0.000
4.635 4.635 4.635
0.255 3.286 3.201
0.255 5.985 6.070
0.857 0.857 0.857
0.857 8.414 8.414
1.350 4.380 7.836
1.350 4.891 1.434
1.434 1.350 4.891
1.434 7.921 4.380
3.201 0.255 3.286
3.201 9.015 5.985
3.286 3.201 0.255
3.286 6.070 9.015
3.778 3.778 5.492
3.778 5.492 3.778
4.380 1.434 7.921
4.380 7.836 1.350
4.891 1.434 1.350
4.891 7.836 7.921
5.492 3.778 3.778
5.492 5.492 5.492
5.985 3.201 9.015
5.985 6.070 0.255
6.070 0.255 5.985
6.070 9.015 3.286
7.836 1.350 4.380
7.836 7.921 4.891
7.921 4.380 1.434
7.921 4.891 7.836
8.414 0.857 8.414
8.414 8.414 0.857
9.015 3.286 6.070
9.015 5.985 3.201
```

Largest 6 diffraction maxima, in order of rising 2θ, 10 to 90 degrees two-theta:
- 2θ = 23.51°, I 100
- 2θ = 33.48°, I 28
- 2θ = 50.18°, I 13
- 2θ = 56.12°, I 12
- 2θ = 66.95°, I 11
- 2θ = 75.33°, I 11



(3)
The following is a computed powder X-ray diffraction pattern of Tb3Zn2Cu9. It was derived from DFT lattice parameters and positions (GGA-PBE), using Cu Ka.
No peak broadening, texture or thermal motion is included.

Crystal structure
```
Tb3Zn2Cu9
1.0
-2.093 4.405 6.194
2.093 -4.405 6.194
2.093 4.405 -6.194
Tb Zn Cu
3 2 9
Cartesian
0.000 0.000 0.000
0.000 0.000 3.707
0.000 0.000 8.680
2.093 2.623 0.000
0.000 1.782 6.194
2.093 -1.250 2.107
2.093 -1.909 4.622
2.093 1.250 2.107
0.000 2.495 1.572
0.000 4.405 0.000
2.093 1.909 4.622
0.000 3.154 4.087
0.000 6.314 1.572
0.000 5.655 4.087
```

Largest 6 diffraction maxima, in order of rising 2θ, 10 to 90 degrees two-theta:
- 2θ = 30.40°, I 30
- 2θ = 36.76°, I 100
- 2θ = 37.41°, I 45
- 2θ = 37.57°, I 54
- 2θ = 40.24°, I 26
- 2θ = 43.24°, I 46



(4)
The following is a computed powder X-ray diffraction pattern of HoAg2S3. It was derived from DFT lattice parameters and positions (GGA-PBE), using Cu Ka.
No peak broadening, texture or thermal motion is included.

Crystal structure
```
HoAg2S3
1.0
3.991 -6.209 0.000
3.991 6.209 0.000
0.000 0.000 5.202
Ho Ag S
2 4 6
Cartesian
3.991 3.216 3.902
3.991 -3.216 1.301
2.239 0.000 0.000
2.239 0.000 2.601
5.742 0.000 0.000
5.742 0.000 2.601
1.565 2.039 3.902
1.565 -2.039 1.301
3.991 1.647 1.301
3.991 -1.647 3.902
6.416 2.039 3.902
6.416 -2.039 1.301
```

Largest 6 diffraction maxima, in order of rising 2θ, 10 to 90 degrees two-theta:
- 2θ = 21.61°, I 36
- 2θ = 26.55°, I 100
- 2θ = 28.76°, I 33
- 2θ = 29.77°, I 40
- 2θ = 37.49°, I 58
- 2θ = 51.22°, I 35



(5)
The following is a computed powder X-ray diffraction pattern of ThHg2Pd6. It was derived from DFT lattice parameters and positions (GGA-PBE), using Cu Ka.
No peak broadening, texture or thermal motion is included.

Crystal structure
```
ThHg2Pd6
1.0
-1.544 3.887 7.052
1.544 -3.887 7.052
1.544 3.887 -7.052
Th Hg Pd
1 2 6
Cartesian
0.000 0.000 0.000
1.544 0.000 4.933
0.000 3.887 2.118
1.544 1.370 -2.447
1.544 2.527 0.000
1.544 1.370 2.447
0.000 2.516 4.605
0.000 1.360 7.052
0.000 2.516 9.498
```

Largest 6 diffraction maxima, in order of rising 2θ, 10 to 90 degrees two-theta:
- 2θ = 33.73°, I 69
- 2θ = 37.75°, I 75
- 2θ = 38.29°, I 50
- 2θ = 39.72°, I 100
- 2θ = 40.53°, I 62
- 2θ = 74.31°, I 32



(6)
The following is a computed powder X-ray diffraction pattern of PrCu7Ni5. It was derived from DFT lattice parameters and positions (GGA-PBE), using Cu Ka.
No peak broadening, texture or thermal motion is included.

Crystal structure
```
PrCu7Ni5
1.0
-2.413 4.200 4.199
2.413 -4.200 4.199
2.413 4.200 -4.199
Pr Cu Ni
1 7 5
Cartesian
0.000 0.000 0.000
2.413 1.901 -0.024
2.413 -1.224 4.159
0.000 0.000 2.944
2.413 1.224 4.159
0.000 0.000 5.418
0.000 4.200 2.255
0.000 2.299 4.175
2.413 0.000 1.883
1.205 2.085 2.072
3.620 2.085 2.072
-1.207 2.115 6.271
1.207 2.115 6.271
```

Largest 6 diffraction maxima, in order of rising 2θ, 10 to 90 degrees two-theta:
- 2θ = 37.13°, I 29
- 2θ = 43.11°, I 100
- 2θ = 43.24°, I 44
- 2θ = 48.49°, I 19
- 2θ = 48.62°, I 24
- 2θ = 79.05°, I 26